(1)
Diffraction record for Nb3Al2N. The X-ray diffraction stick pattern is computed, not measured: it uses a DFT-relaxed cell (PBE, Alexandria) and Cu Kα, 1.54184 Å.
Neutral-atom scattering factors, no anomalous dispersion.

Crystal structure
Lattice parameters (Å, degrees): 7.079 7.079 7.079 90.00 90.00 90.00
Fractional coordinates of all 24 atoms:
1 Nb 0.045 0.125 0.795
2 Nb 0.125 0.795 0.045
3 Nb 0.205 0.545 0.375
4 Nb 0.295 0.455 0.875
5 Nb 0.375 0.205 0.545
6 Nb 0.455 0.875 0.295
7 Nb 0.545 0.375 0.205
8 Nb 0.625 0.705 0.955
9 Nb 0.705 0.955 0.625
10 Nb 0.795 0.045 0.125
11 Nb 0.875 0.295 0.455
12 Nb 0.955 0.625 0.705
13 Al 0.071 0.929 0.429
14 Al 0.179 0.179 0.179
15 Al 0.321 0.821 0.679
16 Al 0.429 0.071 0.929
17 Al 0.571 0.571 0.571
18 Al 0.679 0.321 0.821
19 Al 0.821 0.679 0.321
20 Al 0.929 0.429 0.071
21 N 0.125 0.375 0.625
22 N 0.375 0.625 0.125
23 N 0.625 0.125 0.375
24 N 0.875 0.875 0.875

Top 6 peaks for 2θ = 10–80°, sorted by position:
| d/Å | two_theta | Rel. int. |
| --- | --- | --- |
| 3.166 | 28.2 | 18 |
| 2.360 | 38.1 | 100 |
| 2.238 | 40.3 | 57 |
| 2.134 | 42.3 | 22 |
| 1.388 | 67.5 | 20 |
| 1.314 | 71.8 | 20 |

(2)
Diffraction record for MgTcH. The X-ray diffraction stick pattern is computed, not measured: it uses a DFT-relaxed cell (PBE, Alexandria) and Cu Kα, 1.54184 Å.
Neutral-atom scattering factors, no anomalous dispersion.

Crystal structure
Lattice parameters (Å, degrees): 2.815 3.431 3.572 90.00 90.00 90.00
Fractional coordinates of all 3 atoms:
1 Mg 0.000 0.000 0.000
2 Tc 0.500 0.500 0.500
3 H 0.500 0.500 0.000

Top 6 peaks for 2θ = 10–80°, sorted by position:
| d/Å | two_theta | Rel. int. |
| --- | --- | --- |
| 3.572 | 24.9 | 46 |
| 3.431 | 26.0 | 46 |
| 2.475 | 36.3 | 100 |
| 2.211 | 40.8 | 72 |
| 2.176 | 41.5 | 71 |
| 1.381 | 67.9 | 31 |

(3)
Diffraction record for TbNdCd5. The X-ray diffraction stick pattern is computed, not measured: it uses a DFT-relaxed cell (PBE, Alexandria) and Cu Kα, 1.54184 Å.
Neutral-atom scattering factors, no anomalous dispersion.

Crystal structure
Lattice parameters (Å, degrees): 5.222 5.222 6.900 90.00 90.00 90.00
Fractional coordinates of all 7 atoms:
1 Tb 0.000 0.000 0.000
2 Nd 0.500 0.500 0.500
3 Cd 0.000 0.000 0.500
4 Cd 0.000 0.500 0.229
5 Cd 0.000 0.500 0.771
6 Cd 0.500 0.000 0.229
7 Cd 0.500 0.000 0.771

Top 6 peaks for 2θ = 10–80°, sorted by position:
| d/Å | two_theta | Rel. int. |
| --- | --- | --- |
| 4.164 | 21.3 | 17 |
| 2.611 | 34.3 | 57 |
| 2.521 | 35.6 | 100 |
| 1.846 | 49.4 | 20 |
| 1.490 | 62.3 | 38 |
| 1.439 | 64.8 | 17 |

(4)
Diffraction record for Sc3SiSn2. The X-ray diffraction stick pattern is computed, not measured: it uses a DFT-relaxed cell (PBE, Alexandria) and Cu Kα, 1.54184 Å.
Neutral-atom scattering factors, no anomalous dispersion.

Crystal structure
Lattice parameters (Å, degrees): 11.813 4.065 11.159 90.00 90.00 90.00
Fractional coordinates of all 24 atoms:
1 Sc 0.057 0.250 0.117
2 Sc 0.115 0.750 0.542
3 Sc 0.245 0.750 0.272
4 Sc 0.255 0.250 0.772
5 Sc 0.385 0.250 0.042
6 Sc 0.443 0.750 0.617
7 Sc 0.557 0.250 0.383
8 Sc 0.615 0.750 0.958
9 Sc 0.745 0.750 0.228
10 Sc 0.755 0.250 0.728
11 Sc 0.885 0.250 0.458
12 Sc 0.943 0.750 0.883
13 Si 0.119 0.250 0.369
14 Si 0.381 0.750 0.869
15 Si 0.619 0.250 0.131
16 Si 0.881 0.750 0.631
17 Sn 0.019 0.250 0.711
18 Sn 0.188 0.750 0.991
19 Sn 0.312 0.250 0.491
20 Sn 0.481 0.750 0.211
21 Sn 0.519 0.250 0.789
22 Sn 0.688 0.750 0.509
23 Sn 0.812 0.250 0.009
24 Sn 0.981 0.750 0.289

Top 6 peaks for 2θ = 10–80°, sorted by position:
| d/Å | two_theta | Rel. int. |
| --- | --- | --- |
| 4.056 | 21.9 | 72 |
| 2.871 | 31.1 | 70 |
| 2.744 | 32.6 | 100 |
| 2.389 | 37.6 | 48 |
| 2.336 | 38.5 | 57 |
| 2.033 | 44.6 | 50 |

(5)
Diffraction record for Y2PdAu2. The X-ray diffraction stick pattern is computed, not measured: it uses a DFT-relaxed cell (PBE, Alexandria) and Cu Kα, 1.54184 Å.
Neutral-atom scattering factors, no anomalous dispersion.

Crystal structure
Lattice parameters (Å, degrees): 7.612 7.612 3.900 90.00 90.00 90.00
Fractional coordinates of all 10 atoms:
1 Y 0.172 0.328 0.000
2 Y 0.328 0.828 0.000
3 Y 0.672 0.172 0.000
4 Y 0.828 0.672 0.000
5 Pd 0.000 0.000 0.500
6 Pd 0.500 0.500 0.500
7 Au 0.131 0.631 0.500
8 Au 0.369 0.131 0.500
9 Au 0.631 0.869 0.500
10 Au 0.869 0.369 0.500

Top 6 peaks for 2θ = 10–80°, sorted by position:
| d/Å | two_theta | Rel. int. |
| --- | --- | --- |
| 3.900 | 22.8 | 21 |
| 2.565 | 35.0 | 100 |
| 2.407 | 37.4 | 38 |
| 2.048 | 44.2 | 16 |
| 1.950 | 46.6 | 15 |
| 1.515 | 61.2 | 18 |

(6)
Diffraction record for Pd2SeI3. The X-ray diffraction stick pattern is computed, not measured: it uses a DFT-relaxed cell (PBE, Alexandria) and Cu Kα, 1.54184 Å.
Neutral-atom scattering factors, no anomalous dispersion.

Crystal structure
Lattice parameters (Å, degrees): 10.019 10.019 13.825 133.51 133.51 22.35
Fractional coordinates of all 12 atoms:
1 Pd 0.105 0.105 0.199
2 Pd 0.371 0.371 0.066
3 Pd 0.629 0.629 0.934
4 Pd 0.895 0.895 0.801
5 Se 0.076 0.076 0.993
6 Se 0.924 0.924 0.007
7 I 0.175 0.175 0.834
8 I 0.247 0.247 0.654
9 I 0.446 0.446 0.691
10 I 0.554 0.554 0.309
11 I 0.753 0.753 0.346
12 I 0.825 0.825 0.166

Top 6 peaks for 2θ = 10–80°, sorted by position:
| d/Å | two_theta | Rel. int. |
| --- | --- | --- |
| 3.294 | 27.1 | 100 |
| 2.744 | 32.6 | 64 |
| 2.538 | 35.4 | 65 |
| 2.157 | 41.9 | 37 |
| 1.942 | 46.8 | 25 |
| 1.896 | 48.0 | 41 |